The following is a computed powder diffractogram of CaNi2RuF. It was derived from a structure optimized by DFT (PBE+U), using λ = 1.5418 Å (Cu Kα).
Neutral-atom scattering factors, no anomalous dispersion.

Structure:
```
data_CaNi2RuF
_cell_length_a 4.2225
_cell_length_b 4.2225
_cell_length_c 4.3675
_cell_angle_alpha 90.00
_cell_angle_beta 90.00
_cell_angle_gamma 90.00
_space_group_name_H-M_alt 'P 4/m m m'
_space_group_IT_number 123
_space_group_name_Hall '-P 4 2'
loop_
_atom_site_label
_atom_site_type_symbol
_atom_site_fract_x
_atom_site_fract_y
_atom_site_fract_z
_atom_site_occupancy
Ca1 Ca 0.0000 0.0000 0.0000 1
Ni1 Ni 0.0000 0.5000 0.5000 1
Ru1 Ru 0.5000 0.5000 0.0000 1
F1 F 0.0000 0.0000 0.5000 1
```

Top 10 peaks for 10° ≤ 2θ ≤ 90°, by angle:
| 2θ/deg | d_spacing | intensity | hkl |
| --- | --- | --- | --- |
| 29.42 | 3.036 | 18 | 1 0 1 |
| 36.45 | 2.465 | 100 | 1 1 1 |
| 41.35 | 2.184 | 23 | 0 0 2 |
| 42.83 | 2.111 | 41 | 2 0 0 |
| 52.82 | 1.733 | 7 | 2 1 1 |
| 61.05 | 1.518 | 27 | 2 0 2 |
| 62.18 | 1.493 | 13 | 2 2 0 |
| 72.19 | 1.309 | 12 | 1 1 3 |
| 74.28 | 1.277 | 23 | 3 1 1 |
| 77.44 | 1.232 | 13 | 2 2 2 |